The following is a computed powder diffractogram of Tb2CeErP4. It was derived from a structure optimized by DFT (PBE), using Cu Kα (weighted mean of Kα1 and Kα2).

Top 8 peaks for 2θ from 10° to 80°, low angle first:
- 2θ 27.14, intensity 85, hkl 2 0 0
- 2θ 31.44, intensity 100, hkl 1 1 1
- 2θ 45.06, intensity 73, hkl 2 0 2
- 2θ 53.39, intensity 38, hkl 3 1 1
- 2θ 55.97, intensity 25, hkl 4 0 0
- 2θ 65.58, intensity 8, hkl 2 2 2
- 2θ 72.36, intensity 14, hkl 4 0 2
- 2θ 74.55, intensity 27, hkl 4 2 0

Atomic structure:
```
Tb2CeErP4
1.0
6.9624 0.0000 0.0000
0.0000 4.0273 0.0000
-2.3156 0.0000 6.5745
Tb Ce Er P
2 1 1 4
Direct
0.0000 0.0000 0.0000 Tb
0.5000 0.5000 0.0000 Tb
0.0000 0.5000 0.5000 Ce
0.5000 0.0000 0.5000 Er
0.2519 0.0000 0.7494 P
0.2521 0.5000 0.2529 P
0.7481 0.0000 0.2506 P
0.7479 0.5000 0.7471 P
```